Simulated XRD peak list
Compound: Li3Sn12Rh4
Radiation: Cu Kα (λ = 1.5418 Å)
Structure: the GGA-PBE geometry in Alexandria
Neutral-atom scattering factors, no anomalous dispersion.

Atomic structure:
Cell: 8.6557 8.6557 8.6557 Å, 109.47 109.47 109.47°
Positions (direct):
Li 0.0000 0.5000 0.5000
Li 0.5000 0.0000 0.5000
Li 0.5000 0.5000 0.0000
Sn 0.1128 0.3178 0.7950
Sn 0.2050 0.5227 0.3178
Sn 0.2050 0.8872 0.6822
Sn 0.3178 0.2050 0.5227
Sn 0.3178 0.7950 0.1128
Sn 0.4773 0.6822 0.7950
Sn 0.5227 0.3178 0.2050
Sn 0.6822 0.2050 0.8872
Sn 0.6822 0.7950 0.4773
Sn 0.7950 0.1128 0.3178
Sn 0.7950 0.4773 0.6822
Sn 0.8872 0.6822 0.2050
Rh 0.0000 0.0000 0.5000
Rh 0.0000 0.5000 0.0000
Rh 0.5000 0.0000 0.0000
Rh 0.5000 0.5000 0.5000

Most intense lines, 2θ = 15–90°, most intense first:
28.24 deg, rel. 100
17.75 deg, rel. 88
33.55 deg, rel. 68
40.36 deg, rel. 65
56.78 deg, rel. 49
35.94 deg, rel. 41